# Ce3MgRh3
Computed X-ray powder pattern, CuKα. Input: DFT lattice parameters and positions (PBE).

Top 12 peaks for 2θ = 10–90°, sorted by position:
2θ (°)	I_rel
16.90	18
18.50	20
30.46	48
33.23	58
34.18	41
35.50	27
37.51	100
37.85	25
40.94	15
46.49	30
48.39	26
55.18	18

Crystal structure
Cell lengths 6.7261, 6.7261, 7.0210 Å; angles 90.00, 90.00, 102.52 degrees
Atoms (fractional coordinates):
Ce 0.1720 0.8280 0.0000
Ce 0.2443 0.7557 0.5000
Ce 0.3755 0.3755 0.8668
Ce 0.6245 0.6245 0.1332
Ce 0.7557 0.2443 0.5000
Ce 0.8280 0.1720 0.0000
Mg 0.2506 0.2506 0.3617
Mg 0.7494 0.7494 0.6383
Rh 0.0419 0.5189 0.2250
Rh 0.0755 0.0755 0.7008
Rh 0.4811 0.9581 0.7750
Rh 0.5189 0.0419 0.2250
Rh 0.9245 0.9245 0.2992
Rh 0.9581 0.4811 0.7750



# Ce5MgRh5
Computed X-ray powder pattern, CuKα. Input: DFT lattice parameters and positions (PBE).

Top 12 peaks for 2θ = 10–90°, sorted by position:
2θ (°)	I_rel
19.70	27
22.32	22
31.93	98
32.08	98
32.73	100
42.38	48
46.38	69
46.49	69
49.20	26
54.56	45
60.36	25
77.71	30

Crystal structure
Cell lengths 6.5409, 6.5409, 8.5309 Å; angles 108.78, 108.78, 49.45 degrees
Atoms (fractional coordinates):
Ce 0.0000 0.0000 0.0000
Ce 0.3264 0.3264 0.6554
Ce 0.3298 0.3298 0.1728
Ce 0.6702 0.6702 0.8272
Ce 0.6736 0.6736 0.3446
Mg 0.0000 0.0000 0.5000
Rh 0.1378 0.1378 0.3146
Rh 0.1465 0.1465 0.8264
Rh 0.5000 0.5000 0.5000
Rh 0.8535 0.8535 0.1736
Rh 0.8622 0.8622 0.6854



# Ce2Mg17Ru4
Computed X-ray powder pattern, CuKα. Input: DFT lattice parameters and positions (PBE).

Top 12 peaks for 2θ = 10–90°, sorted by position:
2θ (°)	I_rel
12.56	100
12.66	86
21.78	37
21.96	72
28.12	47
33.56	40
33.89	18
38.05	35
38.63	95
42.61	42
46.84	22
53.84	32

Crystal structure
Cell lengths 8.6099, 8.6099, 8.6099 Å; angles 109.93, 109.93, 108.56 degrees
Atoms (fractional coordinates):
Ce 0.1465 0.1465 0.0000
Ce 0.8535 0.8535 0.0000
Mg 0.0000 0.3252 0.3252
Mg 0.0000 0.6748 0.6748
Mg 0.0149 0.2573 0.6517
Mg 0.2132 0.6470 0.0000
Mg 0.2573 0.0149 0.6517
Mg 0.3252 0.0000 0.3252
Mg 0.3530 0.3530 0.5662
Mg 0.3632 0.6056 0.3483
Mg 0.3944 0.7427 0.7576
Mg 0.5000 0.5000 0.0000
Mg 0.6056 0.3632 0.3483
Mg 0.6368 0.9851 0.2424
Mg 0.6470 0.2132 0.0000
Mg 0.6748 0.0000 0.6748
Mg 0.7427 0.3944 0.7576
Mg 0.7868 0.7868 0.4338
Mg 0.9851 0.6368 0.2424
Ru 0.0028 0.0028 0.3336
Ru 0.3308 0.9972 0.0000
Ru 0.6692 0.6692 0.6664
Ru 0.9972 0.3308 0.0000



# CeTmMgRu
Computed X-ray powder pattern, CuKα. Input: DFT lattice parameters and positions (PBE).

Top 12 peaks for 2θ = 10–90°, sorted by position:
2θ (°)	I_rel
10.24	93
20.55	8
26.81	21
34.02	100
38.28	49
39.73	15
41.47	45
55.26	17
66.50	28
67.22	15
71.39	18
80.09	9

Crystal structure
Cell lengths 3.3249, 3.3249, 8.6427 Å; angles 90.00, 90.00, 90.00 degrees
Atoms (fractional coordinates):
Ce 0.0000 0.0000 0.0000
Tm 0.0000 0.0000 0.6024
Mg 0.5000 0.5000 0.3067
Ru 0.5000 0.5000 0.7972



# Ce2MgS4
Computed X-ray powder pattern, CuKα. Input: DFT lattice parameters and positions (PBE).

Top 12 peaks for 2θ = 10–90°, sorted by position:
2θ (°)	I_rel
14.69	56
21.51	36
25.30	80
26.15	95
32.31	52
34.11	44
34.33	100
39.15	89
40.68	51
48.68	35
50.49	37
54.44	26

Crystal structure
Cell lengths 7.3206, 7.3206, 7.3206 Å; angles 111.30, 111.30, 105.88 degrees
Atoms (fractional coordinates):
Ce 0.0020 0.6250 0.8770
Ce 0.3750 0.2520 0.3770
Ce 0.7480 0.1250 0.1230
Ce 0.8750 0.9980 0.6230
Mg 0.2500 0.7500 0.5000
Mg 0.5000 0.5000 0.0000
S 0.0033 0.8765 0.2672
S 0.1235 0.3907 0.1268
S 0.1407 0.3735 0.6268
S 0.2639 0.9967 0.8732
S 0.4861 0.8593 0.2328
S 0.6093 0.7361 0.7328
S 0.6265 0.2533 0.7672
S 0.7467 0.5139 0.3732



# CeMg6Sb
Computed X-ray powder pattern, CuKα. Input: DFT lattice parameters and positions (PBE).

Top 12 peaks for 2θ = 10–90°, sorted by position:
2θ (°)	I_rel
15.46	100
22.89	44
23.65	31
27.60	18
31.22	29
31.35	66
34.09	54
36.00	35
36.15	89
38.94	20
39.40	20
56.99	21

Crystal structure
Cell lengths 4.9891, 6.9839, 6.9839 Å; angles 55.13, 90.00, 90.00 degrees
Atoms (fractional coordinates):
Ce 0.0000 0.0000 0.0000
Mg 0.0000 0.0315 0.4912
Mg 0.0000 0.4912 0.0315
Mg 0.0000 0.5417 0.5417
Mg 0.5000 0.3705 0.8757
Mg 0.5000 0.3931 0.3931
Mg 0.5000 0.8757 0.3705
Sb 0.5000 0.8325 0.8325



# CeMg6Sc2
Computed X-ray powder pattern, CuKα. Input: DFT lattice parameters and positions (PBE).

Top 12 peaks for 2θ = 10–90°, sorted by position:
2θ (°)	I_rel
11.43	32
19.87	29
22.98	9
30.59	16
34.80	100
40.37	5
42.12	9
50.03	19
51.49	7
62.36	27
69.91	11
83.90	10

Crystal structure
Cell lengths 8.9369, 8.9369, 3.1537 Å; angles 90.00, 90.00, 120.00 degrees
Atoms (fractional coordinates):
Ce 0.0000 0.0000 0.0000
Mg 0.0000 0.3394 0.5000
Mg 0.0000 0.6606 0.5000
Mg 0.3394 0.0000 0.5000
Mg 0.3394 0.3394 0.5000
Mg 0.6606 0.0000 0.5000
Mg 0.6606 0.6606 0.5000
Sc 0.3333 0.6667 0.0000
Sc 0.6667 0.3333 0.0000



# CeMg3Sc6
Computed X-ray powder pattern, CuKα. Input: DFT lattice parameters and positions (PBE).

Top 12 peaks for 2θ = 10–90°, sorted by position:
2θ (°)	I_rel
11.05	86
17.01	21
20.33	60
28.10	66
31.77	44
34.42	51
36.26	41
37.39	100
37.87	34
47.54	27
51.72	23
55.10	24

Crystal structure
Cell lengths 6.0174, 6.0174, 8.0080 Å; angles 90.00, 90.00, 120.00 degrees
Atoms (fractional coordinates):
Ce 0.0000 0.0000 0.0000
Mg 0.0000 0.0000 0.5000
Mg 0.3333 0.6667 0.5000
Mg 0.6667 0.3333 0.5000
Sc 0.0000 0.4042 0.8144
Sc 0.0000 0.5958 0.1856
Sc 0.4042 0.0000 0.8144
Sc 0.4042 0.4042 0.1856
Sc 0.5958 0.0000 0.1856
Sc 0.5958 0.5958 0.8144